[1]
This entry pairs a crystal structure of PrSmHo2Te6 with its simulated PXRD pattern. Radiation: Cu Kα (λ = 1.5418 Å). Structure: a GGA-PBE-relaxed structure.
No peak broadening, texture or thermal motion is included.

Top 10 peaks for 2θ = 15–90°, most intense first:
| 2theta | intensity |
| --- | --- |
| 34.2 | 100.0 |
| 26.1 | 94.2 |
| 40.0 | 64.5 |
| 15.5 | 36.6 |
| 21.3 | 28.3 |
| 53.6 | 25.6 |
| 31.4 | 25.5 |
| 68.9 | 22.6 |
| 45.0 | 21.4 |
| 39.1 | 19.5 |

Crystal structure
```
PrSmHo2Te6
1.0
3.907 2.256 7.057
-3.907 2.256 7.057
0.000 -4.511 7.057
Pr Sm Ho Te
1 1 2 6
direct
0.000 0.000 0.000
0.498 0.498 0.498
0.308 0.308 0.308
0.810 0.810 0.810
0.081 0.697 0.422
0.205 0.580 0.914
0.422 0.081 0.697
0.580 0.914 0.205
0.697 0.422 0.081
0.914 0.205 0.580
```

---

[2]
This entry pairs a crystal structure of LiPm2BePd6 with its simulated PXRD pattern. Radiation: Cu Kα (λ = 1.5418 Å). Structure: a GGA-PBE-relaxed structure.
No peak broadening, texture or thermal motion is included.

Top 10 peaks for 2θ = 15–90°, most intense first:
| 2theta | intensity |
| --- | --- |
| 40.7 | 100.0 |
| 30.8 | 60.0 |
| 36.3 | 47.4 |
| 36.4 | 47.2 |
| 36.5 | 46.5 |
| 55.1 | 19.6 |
| 71.1 | 16.3 |
| 74.6 | 11.1 |
| 62.3 | 10.2 |
| 62.5 | 10.2 |

Crystal structure
```
LiPm2BePd6
1.0
5.931 0.000 0.000
2.951 5.165 0.000
2.930 1.703 5.809
Li Pm Be Pd
1 2 1 6
direct
0.000 0.000 0.000
0.264 0.264 0.207
0.736 0.736 0.793
0.500 0.500 0.500
0.230 0.742 0.285
0.257 0.772 0.714
0.258 0.258 0.715
0.742 0.742 0.285
0.743 0.228 0.286
0.770 0.258 0.715
```

---

[3]
This entry pairs a crystal structure of Tb3Cu9Ni2 with its simulated PXRD pattern. Radiation: Cu Kα (λ = 1.5418 Å). Structure: a GGA-PBE-relaxed structure.
No peak broadening, texture or thermal motion is included.

Top 10 peaks for 2θ = 15–90°, most intense first:
| 2theta | intensity |
| --- | --- |
| 37.4 | 100.0 |
| 43.6 | 49.4 |
| 37.5 | 45.9 |
| 38.1 | 41.5 |
| 31.1 | 38.3 |
| 43.7 | 24.9 |
| 40.5 | 24.9 |
| 36.4 | 22.7 |
| 59.2 | 22.3 |
| 76.0 | 19.0 |

Crystal structure
```
Tb3Cu9Ni2
1.0
-2.076 4.408 5.967
2.076 -4.408 5.967
2.076 4.408 -5.967
Tb Cu Ni
3 9 2
direct
0.000 0.000 0.000
0.308 0.308 0.000
0.692 0.692 0.000
0.026 0.670 0.356
0.158 0.881 0.277
0.315 0.670 0.644
0.396 0.119 0.277
0.500 0.000 0.500
0.604 0.881 0.723
0.685 0.330 0.356
0.842 0.119 0.723
0.974 0.330 0.644
0.310 0.500 0.810
0.690 0.500 0.190
```

---

Copy entry 2 word for word.
This entry pairs a crystal structure of LiPm2BePd6 with its simulated PXRD pattern. Radiation: Cu Kα (λ = 1.5418 Å). Structure: a GGA-PBE-relaxed structure.
No peak broadening, texture or thermal motion is included.

Top 10 peaks for 2θ = 15–90°, most intense first:
| 2theta | intensity |
| --- | --- |
| 40.7 | 100.0 |
| 30.8 | 60.0 |
| 36.3 | 47.4 |
| 36.4 | 47.2 |
| 36.5 | 46.5 |
| 55.1 | 19.6 |
| 71.1 | 16.3 |
| 74.6 | 11.1 |
| 62.3 | 10.2 |
| 62.5 | 10.2 |

Crystal structure
```
LiPm2BePd6
1.0
5.931 0.000 0.000
2.951 5.165 0.000
2.930 1.703 5.809
Li Pm Be Pd
1 2 1 6
direct
0.000 0.000 0.000
0.264 0.264 0.207
0.736 0.736 0.793
0.500 0.500 0.500
0.230 0.742 0.285
0.257 0.772 0.714
0.258 0.258 0.715
0.742 0.742 0.285
0.743 0.228 0.286
0.770 0.258 0.715
```